# 1
For Pr3SmGa3, a structure optimized by DFT (PBE) gives the simulated X-ray powder pattern in this record (CuKα).

Structural model:
Cell: 9.2718 9.2718 17.0636 Å, 90.00 90.00 120.00°
Space group R-3 (No. 148, hexagonal axes)
One atom of each set of equivalent atoms:
1 Pr 0.0098 0.2506 0.0942 x18
2 Sm 0.0000 0.0000 0.3172 x6
3 Ga 0.0084 0.5957 0.0652 x18

Top 10 peaks for 2θ from 10° to 90°, by angle:
- 24.78°, I = 46
- 28.42°, I = 27
- 29.90°, I = 66
- 31.28°, I = 100
- 31.46°, I = 22
- 33.48°, I = 38
- 36.33°, I = 43
- 37.09°, I = 73
- 52.43°, I = 20
- 52.92°, I = 20


# 2
For MnCoCu4Sn2S8, a structure optimized by DFT (PBE) gives the simulated X-ray powder pattern in this record (CuKα).

Structural model:
Cell: 5.4361 6.6766 10.1819 Å, 77.22 74.52 66.01°
Space group P1 (No. 1)
One atom of each set of equivalent atoms:
1 Mn 0.0000 0.0000 0.0000 x1
2 Co 0.9985 0.5041 0.5005 x1
3 Cu 0.4971 0.2560 0.7452 x1
4 Cu 0.5015 0.7472 0.2547 x1
5 Cu 0.7442 0.1292 0.3794 x1
6 Cu 0.7556 0.6235 0.8715 x1
7 Sn 0.2483 0.8783 0.6216 x1
8 Sn 0.2508 0.3754 0.1291 x1
9 S 0.1163 0.5482 0.6860 x1
10 S 0.1209 0.0477 0.1981 x1
11 S 0.3741 0.4430 0.3286 x1
12 S 0.3916 0.9412 0.8155 x1
13 S 0.6302 0.3179 0.9261 x1
14 S 0.6536 0.8070 0.4289 x1
15 S 0.8508 0.6929 0.0616 x1
16 S 0.8571 0.2152 0.5584 x1

Top 10 peaks for 2θ from 10° to 90°, by angle:
- 28.40°, I = 100
- 32.96°, I = 10
- 47.18°, I = 39
- 47.30°, I = 19
- 55.89°, I = 14
- 56.09°, I = 27
- 69.13°, I = 6
- 76.17°, I = 11
- 87.68°, I = 6
- 87.94°, I = 12


# 3
For La5Dy2Sn5, a structure optimized by DFT (PBE) gives the simulated X-ray powder pattern in this record (CuKα).

Structural model:
Cell: 15.2248 4.5499 13.0628 Å, 90.00 111.11 90.00°
Space group C2/m (No. 12)
One atom of each set of equivalent atoms:
1 La 0.0000 0.0000 0.0000 x2
2 La 0.1623 0.0000 0.5401 x4
3 La 0.2250 0.0000 0.8406 x4
4 Dy 0.0485 0.5000 0.2888 x4
5 Sn 0.0000 0.5000 0.5000 x2
6 Sn 0.1156 0.5000 0.9246 x4
7 Sn 0.1867 0.0000 0.2894 x4

Top 10 peaks for 2θ from 10° to 90°, by angle:
- 26.31°, I = 47
- 27.18°, I = 46
- 27.45°, I = 100
- 28.99°, I = 55
- 29.92°, I = 43
- 30.45°, I = 49
- 34.07°, I = 30
- 38.87°, I = 36
- 39.62°, I = 50
- 40.30°, I = 39


# 4
For ScTl2, a structure optimized by DFT (PBE) gives the simulated X-ray powder pattern in this record (CuKα).

Structural model:
Cell: 3.5568 3.5568 12.1631 Å, 90.00 90.00 90.00°
Space group I4/mmm (No. 139)
One atom of each set of equivalent atoms:
1 Sc 0.0000 0.0000 0.0000 x2
2 Tl 0.0000 0.0000 0.3413 x4

Top 10 peaks for 2θ from 10° to 90°, by angle:
- 14.57°, I = 12
- 26.10°, I = 28
- 33.52°, I = 100
- 35.70°, I = 43
- 44.70°, I = 11
- 46.88°, I = 10
- 51.38°, I = 15
- 58.49°, I = 26
- 62.75°, I = 33
- 70.43°, I = 11


# 5
For Ac2InSbPt6, a structure optimized by DFT (PBE) gives the simulated X-ray powder pattern in this record (CuKα).

Structural model:
Cell: 12.6430 5.6108 9.0848 Å, 90.00 133.64 90.00°
Space group C2/m (No. 12)
One atom of each set of equivalent atoms:
1 Ac 0.2470 0.0000 0.2055 x4
2 In 0.0000 0.5000 0.0000 x2
3 Sb 0.0000 0.0000 0.5000 x2
4 Pt 0.0018 0.2503 0.2539 x8
5 Pt 0.2472 0.5000 0.4023 x4

Top 10 peaks for 2θ from 10° to 90°, by angle:
- 26.77°, I = 39
- 27.12°, I = 21
- 27.33°, I = 36
- 28.24°, I = 18
- 37.65°, I = 100
- 38.52°, I = 23
- 39.39°, I = 44
- 39.69°, I = 19
- 39.75°, I = 22
- 55.03°, I = 16


# 6
For SrAg4F8, a structure optimized by DFT (PBE) gives the simulated X-ray powder pattern in this record (CuKα).

Structural model:
Cell: 7.0914 7.0914 17.7091 Å, 90.00 90.00 120.00°
Space group R-3m (No. 166, hexagonal axes)
One atom of each set of equivalent atoms:
1 Sr 0.0000 0.0000 0.0000 x3
2 Ag 0.0000 0.0000 0.5000 x3
3 Ag 0.0000 0.5000 0.5000 x9
4 F 0.0000 0.0000 0.2179 x6
5 F 0.0306 0.5153 0.7595 x18

Top 10 peaks for 2θ from 10° to 90°, by angle:
- 15.01°, I = 100
- 15.27°, I = 21
- 29.52°, I = 43
- 30.28°, I = 19
- 30.82°, I = 47
- 35.58°, I = 99
- 46.51°, I = 19
- 50.85°, I = 30
- 51.55°, I = 32
- 54.01°, I = 21